Simulated powder diffractogram of In2GaN3 for Cu Kα, 1.54184 Å, from DFT lattice parameters and positions (PBE).
No peak broadening, texture or thermal motion is included.

a = 6.265 Å, b = 6.265 Å, c = 11.076 Å
α = 90.00°, β = 90.00°, γ = 127.17°
Fractional positions:
1 In 0.076 0.415 0.112
2 In 0.085 0.424 0.612
3 In 0.415 0.076 0.612
4 In 0.424 0.085 0.112
5 In 0.576 0.915 0.888
6 In 0.585 0.924 0.388
7 In 0.915 0.576 0.388
8 In 0.924 0.585 0.888
9 Ga 0.250 0.250 0.348
10 Ga 0.250 0.250 0.848
11 Ga 0.750 0.750 0.152
12 Ga 0.750 0.750 0.652
13 N 0.016 0.737 0.076
14 N 0.082 0.918 0.750
15 N 0.237 0.516 0.424
16 N 0.263 0.984 0.424
17 N 0.418 0.582 0.750
18 N 0.484 0.763 0.076
19 N 0.516 0.237 0.924
20 N 0.582 0.418 0.250
21 N 0.737 0.016 0.576
22 N 0.763 0.484 0.576
23 N 0.918 0.082 0.250
24 N 0.984 0.263 0.924

Most intense lines, 10 to 90 degrees two-theta, sorted by position:
- 32.1 deg, intensity 28
- 32.3 deg, intensity 24
- 33.1 deg, intensity 100
- 46.2 deg, intensity 20
- 48.7 deg, intensity 9
- 57.9 deg, intensity 23
- 58.1 deg, intensity 14
- 59.5 deg, intensity 11
- 59.7 deg, intensity 9
- 69.4 deg, intensity 10



Simulated powder diffractogram of NaIn6Ga6 for Cu Kα, 1.54184 Å, from DFT lattice parameters and positions (PBE).
No peak broadening, texture or thermal motion is included.

a = 8.059 Å, b = 8.059 Å, c = 8.059 Å
α = 141.14°, β = 98.56°, γ = 94.16°
Fractional positions:
1 Na 0.000 0.000 0.000
2 In 0.182 0.500 0.682
3 In 0.347 0.000 0.347
4 In 0.351 0.351 0.000
5 In 0.649 0.649 0.000
6 In 0.653 0.000 0.653
7 In 0.818 0.500 0.318
8 Ga 0.000 0.000 0.500
9 Ga 0.000 0.500 0.000
10 Ga 0.216 0.716 0.500
11 Ga 0.500 0.000 0.000
12 Ga 0.500 0.500 0.500
13 Ga 0.784 0.284 0.500

Most intense lines, 10 to 90 degrees two-theta, sorted by position:
- 30.5 deg, intensity 72
- 32.6 deg, intensity 46
- 34.2 deg, intensity 56
- 34.7 deg, intensity 95
- 37.0 deg, intensity 49
- 37.3 deg, intensity 45
- 37.8 deg, intensity 63
- 38.0 deg, intensity 59
- 41.2 deg, intensity 100
- 59.6 deg, intensity 37



Simulated powder diffractogram of Na2In3Ga5 for Cu Kα, 1.54184 Å, from DFT lattice parameters and positions (PBE).
No peak broadening, texture or thermal motion is included.

a = 4.424 Å, b = 4.424 Å, c = 12.211 Å
α = 90.00°, β = 90.00°, γ = 90.00°
Fractional positions:
1 Na 0.000 0.500 0.220
2 Na 0.500 0.000 0.780
3 In 0.000 0.500 0.658
4 In 0.500 0.000 0.342
5 In 0.500 0.500 0.500
6 Ga 0.000 0.000 0.000
7 Ga 0.000 0.000 0.500
8 Ga 0.000 0.500 0.878
9 Ga 0.500 0.000 0.122
10 Ga 0.500 0.500 0.000

Most intense lines, 10 to 90 degrees two-theta, sorted by position:
- 14.5 deg, intensity 32
- 21.4 deg, intensity 80
- 29.8 deg, intensity 21
- 32.1 deg, intensity 100
- 40.8 deg, intensity 68
- 41.3 deg, intensity 83
- 42.3 deg, intensity 26
- 59.1 deg, intensity 22
- 68.8 deg, intensity 21
- 74.6 deg, intensity 28



Simulated powder diffractogram of Na3In8Ga3 for Cu Kα, 1.54184 Å, from DFT lattice parameters and positions (PBE).
No peak broadening, texture or thermal motion is included.

a = 8.968 Å, b = 8.968 Å, c = 8.968 Å
α = 148.54°, β = 101.41°, γ = 87.08°
Fractional positions:
1 Na 0.000 0.000 0.000
2 Na 0.282 0.282 0.000
3 Na 0.718 0.718 0.000
4 In 0.006 0.374 0.633
5 In 0.147 0.854 0.294
6 In 0.259 0.626 0.633
7 In 0.440 0.146 0.294
8 In 0.560 0.854 0.706
9 In 0.741 0.374 0.367
10 In 0.853 0.146 0.706
11 In 0.994 0.626 0.367
12 Ga 0.357 0.500 0.857
13 Ga 0.500 0.000 0.500
14 Ga 0.643 0.500 0.143

Most intense lines, 10 to 90 degrees two-theta, sorted by position:
- 15.6 deg, intensity 46
- 19.9 deg, intensity 59
- 27.4 deg, intensity 39
- 29.9 deg, intensity 61
- 31.7 deg, intensity 36
- 31.8 deg, intensity 75
- 34.1 deg, intensity 63
- 37.0 deg, intensity 76
- 37.3 deg, intensity 88
- 41.0 deg, intensity 100



Simulated powder diffractogram of NaIn2Ga4 for Cu Kα, 1.54184 Å, from DFT lattice parameters and positions (PBE).
No peak broadening, texture or thermal motion is included.

a = 8.875 Å, b = 8.875 Å, c = 8.875 Å
α = 151.67°, β = 150.64°, γ = 41.25°
Fractional positions:
1 Na 0.000 0.000 0.000
2 In 0.180 0.680 0.500
3 In 0.820 0.320 0.500
4 Ga 0.343 0.843 0.500
5 Ga 0.425 0.425 0.000
6 Ga 0.575 0.575 0.000
7 Ga 0.657 0.157 0.500

Most intense lines, 10 to 90 degrees two-theta, sorted by position:
- 10.7 deg, intensity 26
- 21.1 deg, intensity 20
- 21.4 deg, intensity 17
- 28.6 deg, intensity 26
- 30.6 deg, intensity 100
- 33.5 deg, intensity 31
- 40.1 deg, intensity 36
- 41.6 deg, intensity 34
- 43.7 deg, intensity 87
- 59.1 deg, intensity 22



Simulated powder diffractogram of Na3In2Ga4 for Cu Kα, 1.54184 Å, from DFT lattice parameters and positions (PBE).
No peak broadening, texture or thermal motion is included.

a = 4.706 Å, b = 6.023 Å, c = 9.095 Å
α = 104.73°, β = 90.77°, γ = 112.92°
Fractional positions:
1 Na 0.000 0.000 0.000
2 Na 0.383 0.766 0.627
3 Na 0.617 0.234 0.373
4 In 0.292 0.584 0.251
5 In 0.708 0.416 0.749
6 Ga 0.079 0.158 0.635
7 Ga 0.309 0.615 0.937
8 Ga 0.691 0.385 0.063
9 Ga 0.921 0.842 0.365

Most intense lines, 10 to 90 degrees two-theta, sorted by position:
- 16.7 deg, intensity 57
- 16.9 deg, intensity 100
- 22.4 deg, intensity 56
- 31.6 deg, intensity 78
- 35.3 deg, intensity 33
- 35.6 deg, intensity 33
- 38.3 deg, intensity 63
- 38.9 deg, intensity 44
- 39.1 deg, intensity 41
- 39.5 deg, intensity 40



Simulated powder diffractogram of NaIn3Ga for Cu Kα, 1.54184 Å, from DFT lattice parameters and positions (PBE).
No peak broadening, texture or thermal motion is included.

a = 7.493 Å, b = 4.777 Å, c = 7.652 Å
α = 90.00°, β = 104.61°, γ = 90.00°
Fractional positions:
1 Na 0.179 0.250 0.200
2 Na 0.821 0.750 0.800
3 In 0.109 0.250 0.742
4 In 0.352 0.750 0.948
5 In 0.484 0.250 0.639
6 In 0.516 0.750 0.361
7 In 0.648 0.250 0.052
8 In 0.891 0.750 0.258
9 Ga 0.219 0.750 0.545
10 Ga 0.781 0.250 0.455

Most intense lines, 10 to 90 degrees two-theta, sorted by position:
- 14.8 deg, intensity 29
- 22.1 deg, intensity 26
- 30.6 deg, intensity 27
- 30.9 deg, intensity 92
- 35.3 deg, intensity 100
- 37.7 deg, intensity 42
- 38.6 deg, intensity 21
- 40.9 deg, intensity 24
- 42.2 deg, intensity 17
- 55.0 deg, intensity 16



Simulated powder diffractogram of Na2In5Ga3 for Cu Kα, 1.54184 Å, from DFT lattice parameters and positions (PBE).
No peak broadening, texture or thermal motion is included.

a = 9.525 Å, b = 9.525 Å, c = 9.525 Å
α = 100.17°, β = 93.53°, γ = 139.64°
Fractional positions:
1 Na 0.134 0.243 0.377
2 Na 0.366 0.743 0.110
3 Na 0.634 0.257 0.890
4 Na 0.866 0.757 0.623
5 In 0.001 0.750 0.251
6 In 0.112 0.646 0.758
7 In 0.250 0.250 0.000
8 In 0.388 0.146 0.535
9 In 0.499 0.750 0.749
10 In 0.501 0.250 0.251
11 In 0.612 0.854 0.465
12 In 0.750 0.750 0.000
13 In 0.888 0.354 0.242
14 In 0.999 0.250 0.749
15 Ga 0.124 0.864 0.988
16 Ga 0.250 0.750 0.500
17 Ga 0.376 0.364 0.740
18 Ga 0.624 0.636 0.260
19 Ga 0.750 0.250 0.500
20 Ga 0.876 0.136 0.012

Most intense lines, 10 to 90 degrees two-theta, sorted by position:
- 14.5 deg, intensity 69
- 20.5 deg, intensity 89
- 29.2 deg, intensity 31
- 30.9 deg, intensity 82
- 31.1 deg, intensity 80
- 38.9 deg, intensity 100
- 40.3 deg, intensity 66
- 40.4 deg, intensity 64
- 41.8 deg, intensity 59
- 60.5 deg, intensity 32



Simulated powder diffractogram of Na3In2Ga4 for Cu Kα, 1.54184 Å, from DFT lattice parameters and positions (PBE).
No peak broadening, texture or thermal motion is included.

a = 5.879 Å, b = 5.879 Å, c = 8.873 Å
α = 113.77°, β = 113.77°, γ = 48.50°
Fractional positions:
1 Na 0.000 0.000 0.000
2 Na 0.313 0.313 0.350
3 Na 0.687 0.687 0.650
4 In 0.423 0.423 0.752
5 In 0.577 0.577 0.248
6 Ga 0.003 0.003 0.355
7 Ga 0.254 0.254 0.928
8 Ga 0.746 0.746 0.072
9 Ga 0.997 0.997 0.645

Most intense lines, 10 to 90 degrees two-theta, sorted by position:
- 21.4 deg, intensity 49
- 21.8 deg, intensity 22
- 25.5 deg, intensity 52
- 31.2 deg, intensity 35
- 33.5 deg, intensity 73
- 33.8 deg, intensity 33
- 37.2 deg, intensity 57
- 38.0 deg, intensity 100
- 46.3 deg, intensity 43
- 51.2 deg, intensity 31



Simulated powder diffractogram of NaIn5Ga2 for Cu Kα, 1.54184 Å, from DFT lattice parameters and positions (PBE).
No peak broadening, texture or thermal motion is included.

a = 6.587 Å, b = 6.587 Å, c = 6.367 Å
α = 118.90°, β = 118.90°, γ = 92.60°
Fractional positions:
1 Na 0.000 0.000 0.000
2 In 0.000 0.000 0.500
3 In 0.000 0.500 0.000
4 In 0.500 0.000 0.000
5 In 0.500 0.500 0.000
6 In 0.500 0.500 0.500
7 Ga 0.000 0.500 0.500
8 Ga 0.500 0.000 0.500

Most intense lines, 10 to 90 degrees two-theta, sorted by position:
- 33.4 deg, intensity 100
- 33.9 deg, intensity 96
- 37.8 deg, intensity 35
- 39.6 deg, intensity 62
- 55.9 deg, intensity 44
- 65.4 deg, intensity 13
- 65.7 deg, intensity 13
- 67.6 deg, intensity 24
- 68.5 deg, intensity 23
- 70.1 deg, intensity 11



Simulated powder diffractogram of Na3In3GaSe8 for Cu Kα, 1.54184 Å, from DFT lattice parameters and positions (PBE).
No peak broadening, texture or thermal motion is included.

a = 7.841 Å, b = 7.841 Å, c = 8.597 Å
α = 117.44°, β = 117.44°, γ = 59.54°
Fractional positions:
1 Na 0.000 0.000 0.000
2 Na 0.000 0.500 0.000
3 Na 0.500 0.000 0.000
4 In 0.000 0.500 0.500
5 In 0.500 0.000 0.500
6 In 0.500 0.500 0.500
7 Ga 0.000 0.000 0.500
8 Se 0.230 0.230 0.712
9 Se 0.230 0.752 0.712
10 Se 0.248 0.770 0.288
11 Se 0.259 0.259 0.277
12 Se 0.741 0.741 0.723
13 Se 0.752 0.230 0.712
14 Se 0.770 0.248 0.288
15 Se 0.770 0.770 0.288

Most intense lines, 10 to 90 degrees two-theta, sorted by position:
- 12.1 deg, intensity 60
- 31.1 deg, intensity 100
- 39.2 deg, intensity 19
- 42.4 deg, intensity 12
- 42.6 deg, intensity 24
- 46.3 deg, intensity 22
- 46.7 deg, intensity 11
- 48.1 deg, intensity 8
- 53.5 deg, intensity 7
- 57.1 deg, intensity 11



Simulated powder diffractogram of Nd4In3Ga for Cu Kα, 1.54184 Å, from DFT lattice parameters and positions (PBE).
No peak broadening, texture or thermal motion is included.

a = 3.808 Å, b = 3.808 Å, c = 15.547 Å
α = 90.00°, β = 90.00°, γ = 90.00°
Fractional positions:
1 Nd 0.000 0.000 0.115
2 Nd 0.000 0.000 0.371
3 Nd 0.000 0.000 0.629
4 Nd 0.000 0.000 0.885
5 In 0.500 0.500 0.244
6 In 0.500 0.500 0.500
7 In 0.500 0.500 0.756
8 Ga 0.500 0.500 0.000

Most intense lines, 10 to 90 degrees two-theta, sorted by position:
- 32.9 deg, intensity 100
- 33.3 deg, intensity 50
- 46.7 deg, intensity 9
- 47.8 deg, intensity 18
- 58.6 deg, intensity 17
- 59.2 deg, intensity 36
- 69.1 deg, intensity 11
- 77.9 deg, intensity 7
- 79.4 deg, intensity 8
- 79.6 deg, intensity 8



Simulated powder diffractogram of Nd3In2Ga4 for Cu Kα, 1.54184 Å, from DFT lattice parameters and positions (PBE).
No peak broadening, texture or thermal motion is included.

a = 6.209 Å, b = 6.209 Å, c = 8.838 Å
α = 102.27°, β = 102.27°, γ = 42.00°
Fractional positions:
1 Nd 0.000 0.000 0.000
2 Nd 0.339 0.339 0.327
3 Nd 0.661 0.661 0.673
4 In 0.374 0.374 0.711
5 In 0.626 0.626 0.289
6 Ga 0.037 0.037 0.378
7 Ga 0.289 0.289 0.965
8 Ga 0.711 0.711 0.035
9 Ga 0.963 0.963 0.622

Most intense lines, 10 to 90 degrees two-theta, sorted by position:
- 31.0 deg, intensity 12
- 31.2 deg, intensity 100
- 40.4 deg, intensity 34
- 40.5 deg, intensity 17
- 42.1 deg, intensity 13
- 52.0 deg, intensity 12
- 59.6 deg, intensity 9
- 59.9 deg, intensity 9
- 59.9 deg, intensity 9
- 67.7 deg, intensity 10